Entry 1:
Starting from the PBE geometry in the Materials Project, the powder X-ray diffraction pattern of K4ZrC5O15F2 was simulated for Cu Kα.
Neutral-atom scattering factors, no anomalous dispersion.

Principal peaks in the range 2θ = 5–70°, by intensity:
| 2theta | d [Å] | Rel. int. | hkl |
| --- | --- | --- | --- |
| 8.74 | 10.121 | 100 | 1 1 0 |
| 9.64 | 9.175 | 63 | 0 0 1 |
| 29.18 | 3.061 | 35 | 0 0 3 |
| 28.19 | 3.166 | 27 | 3 3 1 |
| 13.85 | 6.394 | 27 | 2 0 1 |
| 19.35 | 4.588 | 23 | 0 0 2 |
| 16.52 | 5.368 | 18 | 3 1 0 |
| 27.72 | 3.218 | 17 | 5 1 1 |

Structure:
```
data_K4ZrC5O15F2
_chemical_formula_sum 'K16 Zr4 C20 O60 F8'
_cell_length_a 17.9082
_cell_length_b 12.2675
_cell_length_c 9.1753
_cell_angle_alpha 90.00
_cell_angle_beta 90.26
_cell_angle_gamma 90.00
_space_group_name_H-M_alt 'C 1 2/m 1'
_space_group_IT_number 12
loop_
_space_group_symop_operation_xyz
'x,y,z'
'-x,-y,-z'
'-x,y,-z'
'x,-y,z'
'x+1/2,y+1/2,z'
'-x+1/2,-y+1/2,-z'
'-x+1/2,y+1/2,-z'
'x+1/2,-y+1/2,z'
loop_
_atom_site_label
_atom_site_fract_x
_atom_site_fract_y
_atom_site_fract_z
K1 0.0703 0.1577 0.3001
K2 0.1438 0.5000 0.4030
K3 0.2477 0.5000 0.7400
Zr1 0.1331 0.0000 0.6871
C1 0.1235 0.0000 0.9762
C2 0.1493 0.2540 0.6362
C3 0.2294 0.2123 0.6768
O1 0.0051 0.4494 0.7385
O2 0.0346 0.2659 0.0034
O3 0.0997 0.1792 0.6240
O4 0.1217 0.0000 0.1138
O5 0.1251 0.0895 0.8965
O6 0.1391 0.3539 0.6145
O7 0.2184 0.2220 0.3045
O8 0.2354 0.1075 0.6834
F1 0.0201 0.0000 0.6736
F2 0.1448 0.0000 0.4599
```



Entry 2:
Starting from the PBE geometry in the Materials Project, the powder X-ray diffraction pattern of Mn3Sn was simulated for Cu Kα.
Neutral-atom scattering factors, no anomalous dispersion.

Principal peaks in the range 2θ = 5–70°, by intensity:
| 2theta | d [Å] | Rel. int. | hkl |
| --- | --- | --- | --- |
| 42.39 | 2.132 | 100 | 2 0 1 |
| 40.05 | 2.251 | 26 | 0 0 2 |
| 37.14 | 2.421 | 24 | 2 0 0 |
| 27.04 | 3.297 | 18 | 1 0 1 |
| 66.94 | 1.398 | 16 | 2 2 0 |
| 55.76 | 1.649 | 14 | 2 0 2 |
| 32.02 | 2.796 | 7 | 1 1 0 |
| 54.09 | 1.695 | 5 | 2 1 1 |

Structure:
```
data_Mn3Sn
_chemical_formula_sum 'Mn6 Sn2'
_cell_length_a 5.5911
_cell_length_b 5.5911
_cell_length_c 4.5026
_cell_angle_alpha 90.00
_cell_angle_beta 90.00
_cell_angle_gamma 120.00
_space_group_name_H-M_alt 'P 63/m m c'
_space_group_IT_number 194
_space_group_name_Hall '-P 6c 2c'
loop_
_atom_site_label
_atom_site_fract_x
_atom_site_fract_y
_atom_site_fract_z
Mn1 0.1619 0.3239 0.2500
Sn1 0.3333 0.6667 0.7500
```



Entry 3:
Starting from the PBE geometry in the Materials Project, the powder X-ray diffraction pattern of KLaF4 was simulated for Cu Kα.
Neutral-atom scattering factors, no anomalous dispersion.

Principal peaks in the range 2θ = 5–70°, by intensity:
| 2theta | d [Å] | Rel. int. | hkl |
| --- | --- | --- | --- |
| 27.53 | 3.240 | 100 | 1 1 1 |
| 26.39 | 3.378 | 86 | 1 0 4 |
| 11.11 | 7.960 | 83 | 0 0 2 |
| 40.38 | 2.234 | 76 | 2 1 3 |
| 17.81 | 4.981 | 73 | 1 0 2 |
| 28.55 | 3.127 | 50 | 0 1 3 |
| 48.57 | 1.874 | 45 | 1 1 7 |
| 36.53 | 2.460 | 39 | 0 1 5 |

Structure:
```
data_KLaF4
_chemical_formula_sum 'K4 La4 F16'
_cell_length_a 6.3844
_cell_length_b 3.8697
_cell_length_c 15.9210
_cell_angle_alpha 90.00
_cell_angle_beta 90.00
_cell_angle_gamma 90.00
_space_group_name_H-M_alt 'P n m a'
_space_group_IT_number 62
loop_
_space_group_symop_operation_xyz
'x,y,z'
'-x,-y,-z'
'-x+1/2,-y,z+1/2'
'x+1/2,y,-z+1/2'
'x+1/2,-y+1/2,-z+1/2'
'-x+1/2,y+1/2,z+1/2'
'-x,y+1/2,-z'
'x,-y+1/2,z'
loop_
_atom_site_label
_atom_site_fract_x
_atom_site_fract_y
_atom_site_fract_z
K1 0.2227 0.2500 0.2019
La1 0.2487 0.7500 0.4377
F1 0.0051 0.2500 0.0587
F2 0.0872 0.2500 0.8057
F3 0.1048 0.2500 0.3640
F4 0.1345 0.2500 0.5358
```



Entry 4:
Starting from the PBE geometry in the Materials Project, the powder X-ray diffraction pattern of Eu3B2Pt7 was simulated for Cu Kα.
Neutral-atom scattering factors, no anomalous dispersion.

Principal peaks in the range 2θ = 5–70°, by intensity:
| 2theta | d [Å] | Rel. int. | hkl |
| --- | --- | --- | --- |
| 37.11 | 2.423 | 100 | 0 2 1 |
| 39.57 | 2.277 | 86 | 1 1 6 |
| 37.73 | 2.384 | 73 | 2 0 2 |
| 35.94 | 2.499 | 60 | 0 1 8 |
| 66.48 | 1.406 | 42 | 2 2 0 |
| 32.60 | 2.747 | 39 | 1 0 7 |
| 34.67 | 2.587 | 34 | 0 0 9 |
| 33.90 | 2.644 | 33 | 1 1 3 |

Structure:
```
data_Eu3B2Pt7
_chemical_formula_sum 'Eu9 B6 Pt21'
_cell_length_a 5.6255
_cell_length_b 5.6255
_cell_length_c 23.2839
_cell_angle_alpha 90.00
_cell_angle_beta 90.00
_cell_angle_gamma 120.00
_space_group_name_H-M_alt 'R -3 m'
_space_group_IT_number 166
_space_group_name_Hall '-R 3 2"'
loop_
_atom_site_label
_atom_site_fract_x
_atom_site_fract_y
_atom_site_fract_z
Eu1 0.0000 0.0000 0.0000
Eu2 0.0000 0.0000 0.1442
B1 0.0000 0.0000 0.3311
Pt1 0.0000 0.0000 0.5000
Pt2 0.0026 0.5013 0.0651
```



Entry 5:
Starting from the PBE geometry in the Materials Project, the powder X-ray diffraction pattern of Ca2GeO4 was simulated for Cu Kα.
Neutral-atom scattering factors, no anomalous dispersion.

Principal peaks in the range 2θ = 5–70°, by intensity:
| 2theta | d [Å] | Rel. int. | hkl |
| --- | --- | --- | --- |
| 32.83 | 2.728 | 100 | 1 0 3 |
| 33.43 | 2.681 | 85 | 1 1 0 |
| 15.04 | 5.892 | 63 | 0 0 2 |
| 48.00 | 1.896 | 55 | 2 0 0 |
| 59.37 | 1.557 | 37 | 2 1 3 |
| 45.31 | 2.002 | 27 | 1 0 5 |
| 68.83 | 1.364 | 25 | 2 0 6 |
| 24.67 | 3.609 | 25 | 1 0 1 |

Structure:
```
data_Ca2GeO4
_chemical_formula_sum 'Ca4 Ge2 O8'
_cell_length_a 3.7910
_cell_length_b 3.7910
_cell_length_c 11.7847
_cell_angle_alpha 90.00
_cell_angle_beta 90.00
_cell_angle_gamma 90.00
_space_group_name_H-M_alt 'I 4/m m m'
_space_group_IT_number 139
_space_group_name_Hall '-I 4 2'
loop_
_atom_site_label
_atom_site_fract_x
_atom_site_fract_y
_atom_site_fract_z
Ca1 0.0000 0.0000 0.1456
Ge1 0.0000 0.0000 0.5000
O1 0.0000 0.0000 0.3380
O2 0.0000 0.5000 0.0000
```